Diffraction record for CsCa2TlBr8. The powder diffraction line list is computed, not measured: it uses DFT lattice parameters and positions (PBE) and Cu Kα.
Neutral-atom scattering factors, no anomalous dispersion.

Atomic structure:
```
data_CsCa2TlBr8
_symmetry_space_group_name_H-M 'P -1'
_symmetry_Int_Tables_number 2
_symmetry_space_group_name_Hall '-P 1'
_cell_length_a 6.870
_cell_length_b 7.069
_cell_length_c 9.276
_cell_angle_alpha 89.92
_cell_angle_beta 89.90
_cell_angle_gamma 88.40
loop_
_atom_site_label
_atom_site_type_symbol
_atom_site_fract_x
_atom_site_fract_y
_atom_site_fract_z
Cs1 Cs 0.000 0.000 0.000
Ca1 Ca 0.500 0.500 0.254
Tl1 Tl 0.000 0.000 0.500
Br1 Br 0.255 0.345 0.500
Br2 Br 0.256 0.849 0.703
Br3 Br 0.257 0.851 0.297
Br4 Br 0.270 0.403 0.000
```

Largest 12 diffraction maxima, in order of rising 2θ, 2θ = 10–90°:
| hkl | 2θ (°) | Rel. int. |
| --- | --- | --- |
| 0 1 0 | 12.53 | 22 |
| 1 1 0 | 17.76 | 55 |
| 1 -1 0 | 18.26 | 36 |
| 1 0 -2 | 23.14 | 43 |
| 1 -1 2 | 26.57 | 100 |
| 1 2 0 | 28.08 | 62 |
| 1 2 2 | 34.20 | 20 |
| 2 1 -2 | 34.63 | 69 |
| -2 1 2 | 35.18 | 51 |
| 0 0 4 | 38.83 | 26 |
| 0 3 2 | 43.04 | 26 |
| 0 3 -2 | 43.10 | 20 |